No. 1
Structure and theoretical powder diffraction line list of Ba2Nd2Co4O11 (a DFT-relaxed cell (GGA+U, Alexandria); Cu Kα X-rays).
Peak positions follow from Bragg's law for the DFT cell and can differ from measured ones.

Top 10 peaks for 2θ from 15° to 90°, sorted by position:
hkl 1 1 0, 2θ = 22.32°, I = 133; hkl 2 0 0, 2θ = 31.77°, I = 480; hkl 1 1 4, 2θ = 32.37°, I = 1000; hkl 2 0 4, 2θ = 39.68°, I = 214; hkl 2 2 0, 2θ = 45.54°, I = 314; hkl 0 0 8, 2θ = 47.32°, I = 120; hkl 3 1 4, 2θ = 56.98°, I = 391; hkl 2 0 8, 2θ = 58.13°, I = 196; hkl 4 0 0, 2θ = 66.37°, I = 93; hkl 2 2 8, 2θ = 67.77°, I = 154

```
data_Ba2Nd2Co4O11
_chemical_formula_sum 'Ba4 Nd4 Co8 O22'
_symmetry_space_group_name_H-M 'I 4/m m m'
_symmetry_Int_Tables_number 139
_symmetry_space_group_name_Hall '-I 4 2'
_cell_length_a 5.6336
_cell_length_b 5.6336
_cell_length_c 15.3674
_cell_angle_alpha 90.00
_cell_angle_beta 90.00
_cell_angle_gamma 90.00
loop_
_atom_site_label
_atom_site_type_symbol
_atom_site_fract_x
_atom_site_fract_y
_atom_site_fract_z
Ba1 Ba 0.0000 0.5000 0.2500
Nd1 Nd 0.0000 0.5000 0.0000
Co1 Co 0.0000 0.0000 0.1210
Co2 Co 0.0000 0.0000 0.3777
O1 O 0.0000 0.0000 0.0000
O2 O 0.0000 0.0000 0.2384
O3 O 0.2362 0.2362 0.3964
```

---

No. 2
Structure and theoretical powder diffraction line list of Ba2Nd2Co4O11 (a DFT-relaxed cell (GGA+U, Alexandria); Cu Kα X-rays).
Peak positions follow from Bragg's law for the DFT cell and can differ from measured ones.

Top 10 peaks for 2θ from 15° to 90°, sorted by position:
hkl 1 2 0, 2θ = 32.06°, I = 927; hkl 0 2 2, 2θ = 32.33°, I = 993; hkl 1 0 2, 2θ = 32.51°, I = 1000; hkl 1 2 2, 2θ = 39.83°, I = 413; hkl 0 4 0, 2θ = 45.71°, I = 291; hkl 2 0 0, 2θ = 46.25°, I = 306; hkl 0 0 4, 2θ = 47.02°, I = 250; hkl 1 4 2, 2θ = 57.20°, I = 352; hkl 2 2 2, 2θ = 57.55°, I = 378; hkl 1 2 4, 2θ = 58.05°, I = 400

```
data_Ba2Nd2Co4O11
_chemical_formula_sum 'Ba2 Nd2 Co4 O11'
_symmetry_space_group_name_H-M 'P m m 2'
_symmetry_Int_Tables_number 25
_cell_length_a 3.9260
_cell_length_b 7.9399
_cell_length_c 7.7301
_cell_angle_alpha 90.00
_cell_angle_beta 90.00
_cell_angle_gamma 90.00
loop_
_symmetry_equiv_pos_as_xyz
'x,y,z'
'-x,-y,z'
'-x,y,z'
'x,-y,z'
loop_
_atom_site_label
_atom_site_type_symbol
_atom_site_fract_x
_atom_site_fract_y
_atom_site_fract_z
Ba1 Ba 0.0000 0.2482 0.0000
Nd1 Nd 0.0000 0.2699 0.4950
Co1 Co 0.5000 0.0000 0.2590
Co2 Co 0.5000 0.0000 0.7448
Co3 Co 0.5000 0.5000 0.2472
Co4 Co 0.5000 0.5000 0.7462
O1 O 0.0000 0.0000 0.3151
O2 O 0.0000 0.0000 0.6953
O3 O 0.0000 0.5000 0.2724
O4 O 0.0000 0.5000 0.7296
O5 O 0.5000 0.0000 0.9919
O6 O 0.5000 0.2271 0.6971
O7 O 0.5000 0.2374 0.2846
O8 O 0.5000 0.5000 0.9996
O9 O 0.5000 0.5000 0.4950
```